Structure and calculated PXRD pattern of Rb2PaFeO6 (DFT lattice parameters and positions (GGA+U); Cu Kα, 1.54184 Å).
Kinematic intensities with the Lorentz-polarization factor, no thermal factor.

Top 10 peaks for 2θ from 10° to 90°, most intense first:
2θ/deg, I/Imax, (hkl)
29.73, 100, 1 0 2
29.13, 54, 1 1 0
52.02, 43, 2 1 2
23.12, 35, 1 0 1
41.67, 35, 2 0 0
10.61, 27, 0 0 1
61.73, 19, 2 0 4
53.12, 19, 1 1 4
20.49, 15, 1 0 0
43.40, 14, 0 0 4

Cell and atoms:
```
Rb2PaFeO6
1.0
4.3348 0.0000 0.0000
0.0000 4.3348 0.0000
0.0000 0.0000 8.3405
Rb Pa Fe O
2 1 1 6
direct
0.0000 0.0000 0.2304
0.0000 0.0000 0.7696
0.5000 0.5000 0.5000
0.5000 0.5000 0.0000
0.0000 0.5000 0.0000
0.0000 0.5000 0.5000
0.5000 0.0000 0.0000
0.5000 0.0000 0.5000
0.5000 0.5000 0.2351
0.5000 0.5000 0.7649
```